No. 1
The following is a computed X-ray diffraction stick pattern of LaCe2Pa. It was derived from DFT lattice parameters and positions (GGA-PBE), using Cu Kα X-rays.
Neutral-atom scattering factors, no anomalous dispersion.

Structure:
abc: 3.3448 3.3448 34.4535
angles: 90.00 90.00 120.00
Space group R3m (No. 160, hexagonal axes)
Inequivalent atoms, fractional coordinates:
La: 0.0000 0.0000 0.0000 (multiplicity 3)
Ce: 0.0000 0.0000 0.4187 (multiplicity 3)
Ce: 0.0000 0.0000 0.5793 (multiplicity 3)
Pa: 0.0000 0.0000 0.8320 (multiplicity 3)

Top 10 peaks for 2θ from 10° to 90°, by intensity:
| 2θ/deg | Rel. int. | index |
| --- | --- | --- |
| 33.6 | 100.0 | 0 1 5 |
| 36.0 | 89.9 | 1 0 7 |
| 31.2 | 60.6 | 0 0 12 |
| 64.5 | 48.0 | 1 1 12 |
| 54.9 | 38.0 | 1 1 0 |
| 31.3 | 29.9 | 0 1 2 |
| 55.3 | 21.4 | 0 1 17 |
| 60.2 | 21.0 | 1 0 19 |
| 32.6 | 19.6 | 1 0 4 |
| 31.0 | 17.4 | 1 0 1 |

---

No. 2
The following is a computed X-ray diffraction stick pattern of CeSm12Dy2. It was derived from DFT lattice parameters and positions (GGA-PBE), using Cu Kα X-rays.
Neutral-atom scattering factors, no anomalous dispersion.

Structure:
abc: 7.106 11.513 24.832
angles: 90.00 90.00 90.00
Space group Cmme (No. 67)
Inequivalent atoms, fractional coordinates:
Ce: 0.000 0.250 0.001 (multiplicity 4)
Sm: 0.000 0.003 0.926 (multiplicity 8)
Sm: 0.000 0.022 0.440 (multiplicity 8)
Sm: 0.233 0.250 0.586 (multiplicity 8)
Sm: 0.249 0.250 0.128 (multiplicity 8)
Sm: 0.250 0.000 0.199 (multiplicity 8)
Sm: 0.250 0.000 0.325 (multiplicity 8)
Dy: 0.000 0.250 0.270 (multiplicity 4)
Dy: 0.000 0.250 0.734 (multiplicity 4)

Top 10 peaks for 2θ from 10° to 90°, by intensity:
| 2θ/deg | Rel. int. | index |
| --- | --- | --- |
| 30.4 | 100.0 | 2 2 2 |
| 31.1 | 95.1 | 0 4 0 |
| 32.8 | 80.5 | 0 2 8 |
| 29.6 | 61.8 | 0 2 7 |
| 33.0 | 59.2 | 2 2 4 |
| 36.8 | 49.7 | 2 2 6 |
| 29.0 | 32.1 | 2 0 4 |
| 58.1 | 28.9 | 2 4 11 |
| 61.3 | 28.4 | 4 4 0 |
| 62.3 | 25.7 | 4 2 8 |

---

No. 3
The following is a computed X-ray diffraction stick pattern of AcTb3Sb3. It was derived from DFT lattice parameters and positions (GGA-PBE), using Cu Kα X-rays.
Neutral-atom scattering factors, no anomalous dispersion.

Structure:
abc: 9.3248 9.3248 5.7314
angles: 90.00 90.00 120.00
Space group P6_3/m (No. 176)
Inequivalent atoms, fractional coordinates:
Ac: 0.3333 0.6667 0.2500 (multiplicity 2)
Tb: 0.0128 0.2469 0.2500 (multiplicity 6)
Sb: 0.0594 0.4187 0.7500 (multiplicity 6)

Top 10 peaks for 2θ from 10° to 90°, by intensity:
| 2θ/deg | Rel. int. | index |
| --- | --- | --- |
| 33.3 | 100.0 | 2 1 1 |
| 31.2 | 33.9 | 0 0 2 |
| 51.9 | 25.5 | 1 4 0 |
| 29.3 | 22.3 | 2 1 0 |
| 56.9 | 21.6 | 2 1 3 |
| 43.3 | 18.0 | 2 1 2 |
| 33.3 | 17.2 | 3 0 0 |
| 61.8 | 15.0 | 1 4 2 |
| 46.3 | 13.8 | 3 0 2 |
| 66.5 | 11.6 | 5 1 1 |

---

No. 4
The following is a computed X-ray diffraction stick pattern of LaDy4Y5. It was derived from DFT lattice parameters and positions (GGA-PBE), using Cu Kα X-rays.
Neutral-atom scattering factors, no anomalous dispersion.

Structure:
abc: 10.276 10.276 6.315
angles: 90.00 90.00 90.00
Space group I4 (No. 79)
Inequivalent atoms, fractional coordinates:
La: 0.000 0.000 0.000 (multiplicity 2)
Dy: 0.051 0.353 0.769 (multiplicity 8)
Y: 0.000 0.000 0.545 (multiplicity 2)
Y: 0.147 0.235 0.275 (multiplicity 8)

Top 10 peaks for 2θ from 10° to 90°, by intensity:
| 2θ/deg | Rel. int. | index |
| --- | --- | --- |
| 29.7 | 100.0 | 3 0 1 |
| 34.5 | 64.0 | 3 2 1 |
| 27.4 | 62.0 | 1 3 0 |
| 30.9 | 53.4 | 1 1 2 |
| 38.8 | 34.4 | 4 1 1 |
| 28.3 | 32.5 | 0 0 2 |
| 39.8 | 25.6 | 3 1 2 |
| 49.0 | 23.2 | 2 4 2 |
| 37.1 | 22.2 | 3 3 0 |
| 56.4 | 18.5 | 1 6 1 |